# 1
Diffraction record for Ho2Er2InCu2Ge4. The powder diffraction line list is computed, not measured: it uses DFT lattice parameters and positions (PBE) and Cu Kα (λ = 1.5418 Å).
Intensities are scaled so that the largest is 100.

The 10 most intense peaks (2θ = 5–70°), in order of rising 2θ:
two_theta, d_spacing, I (rel.)
27.83, 3.206, 23
32.41, 2.763, 21
33.02, 2.712, 29
33.27, 2.693, 75
34.47, 2.602, 95
34.72, 2.584, 32
36.05, 2.492, 100
37.15, 2.420, 42
37.99, 2.368, 24
42.81, 2.113, 78

Cell and atoms:
```
Ho2Er2InCu2Ge4
1.0
7.7644 -2.1131 0.0000
7.7644 2.1131 0.0000
-2.2017 0.0000 6.7502
Ho Er In Cu Ge
2 2 1 2 4
Direct
0.1519 0.1519 0.4308
0.8481 0.8481 0.5692
0.0884 0.0884 0.8818
0.9116 0.9116 0.1182
0.5000 0.5000 0.5000
0.2819 0.2819 0.8719
0.7181 0.7181 0.1281
0.3021 0.3021 0.2534
0.4364 0.4364 0.8408
0.5636 0.5636 0.1592
0.6979 0.6979 0.7466
```



# 2
Diffraction record for Co2Re3. The powder diffraction line list is computed, not measured: it uses DFT lattice parameters and positions (PBE) and Cu Kα (λ = 1.5418 Å).
Intensities are scaled so that the largest is 100.

The 10 most intense peaks (2θ = 5–70°), in order of rising 2θ:
two_theta, d_spacing, I (rel.)
20.56, 4.320, 41
21.75, 4.087, 13
40.71, 2.216, 100
41.82, 2.160, 32
41.94, 2.154, 38
43.03, 2.102, 73
44.88, 2.020, 51
46.02, 1.972, 33
46.50, 1.953, 18
48.71, 1.869, 28

Cell and atoms:
```
Co2Re3
1.0
9.1387 0.0000 0.0000
0.0000 9.1387 0.0000
0.0000 0.0000 4.9025
Co Re
12 18
Direct
0.0400 0.3727 0.0000
0.1011 0.1011 0.0000
0.1273 0.5400 0.5000
0.3727 0.0400 0.0000
0.3989 0.6011 0.5000
0.4600 0.8727 0.5000
0.5400 0.1273 0.5000
0.6011 0.3989 0.5000
0.6273 0.9600 0.0000
0.8727 0.4600 0.5000
0.8989 0.8989 0.0000
0.9600 0.6273 0.0000
0.0000 0.0000 0.5000
0.0633 0.2739 0.5000
0.1824 0.8176 0.2488
0.1824 0.8176 0.7512
0.2261 0.5633 0.0000
0.2739 0.0633 0.5000
0.3176 0.3176 0.2512
0.3176 0.3176 0.7488
0.4367 0.7739 0.0000
0.5000 0.5000 0.0000
0.5633 0.2261 0.0000
0.6824 0.6824 0.2512
0.6824 0.6824 0.7488
0.7261 0.9367 0.5000
0.7739 0.4367 0.0000
0.8176 0.1824 0.2488
0.8176 0.1824 0.7512
0.9367 0.7261 0.5000
```



# 3
Diffraction record for KRb3CdCl6. The powder diffraction line list is computed, not measured: it uses DFT lattice parameters and positions (PBE) and Cu Kα (λ = 1.5418 Å).
Intensities are scaled so that the largest is 100.

The 10 most intense peaks (2θ = 5–70°), in order of rising 2θ:
two_theta, d_spacing, I (rel.)
14.27, 6.207, 74
22.63, 3.930, 57
24.60, 3.620, 86
28.77, 3.104, 39
30.26, 2.954, 58
31.99, 2.798, 42
32.18, 2.781, 60
33.66, 2.662, 100
43.50, 2.081, 46
64.98, 1.435, 26

Cell and atoms:
```
KRb3CdCl6
1.0
6.2694 3.6196 5.0433
-6.2694 3.6196 5.0433
0.0000 -7.2392 5.0433
K Rb Cd Cl
2 6 2 12
Direct
0.0000 0.0000 0.0000
0.5000 0.5000 0.5000
0.0015 0.3760 0.6244
0.1244 0.8760 0.5015
0.3760 0.6244 0.0015
0.5015 0.1244 0.8760
0.6244 0.0015 0.3760
0.8760 0.5015 0.1244
0.2498 0.2498 0.2498
0.7498 0.7498 0.7498
0.0394 0.6974 0.8257
0.1735 0.3032 0.9617
0.1974 0.5394 0.3257
0.3032 0.9617 0.1735
0.3257 0.1974 0.5394
0.4617 0.8032 0.6735
0.5394 0.3257 0.1974
0.6735 0.4617 0.8032
0.6974 0.8257 0.0394
0.8032 0.6735 0.4617
0.8257 0.0394 0.6974
0.9617 0.1735 0.3032
```



# 4
Diffraction record for ErLu2In3Pt2. The powder diffraction line list is computed, not measured: it uses DFT lattice parameters and positions (PBE) and Cu Kα (λ = 1.5418 Å).
Intensities are scaled so that the largest is 100.

The 10 most intense peaks (2θ = 5–70°), in order of rising 2θ:
two_theta, d_spacing, I (rel.)
13.37, 6.623, 28
34.39, 2.608, 100
35.88, 2.503, 69
37.05, 2.427, 70
40.88, 2.207, 19
44.21, 2.049, 13
49.64, 1.837, 17
51.23, 1.783, 16
56.34, 1.633, 22
64.12, 1.452, 25

Cell and atoms:
```
ErLu2In3Pt2
1.0
3.5666 0.0000 0.0000
0.0000 13.2587 0.0000
0.0000 0.0000 7.6387
Er Lu In Pt
2 4 6 4
Direct
0.0000 0.0000 0.0000
0.0000 0.5000 0.5000
0.0000 0.2109 0.3678
0.0000 0.2891 0.8678
0.0000 0.7109 0.8678
0.0000 0.7891 0.3678
0.5000 0.0000 0.3480
0.5000 0.1158 0.6939
0.5000 0.3842 0.1939
0.5000 0.5000 0.8480
0.5000 0.6158 0.1939
0.5000 0.8842 0.6939
0.5000 0.1676 0.0791
0.5000 0.3325 0.5791
0.5000 0.6676 0.5791
0.5000 0.8324 0.0791
```



# 5
Diffraction record for Pr2Dy2CIBr2Cl2. The powder diffraction line list is computed, not measured: it uses DFT lattice parameters and positions (PBE) and Cu Kα (λ = 1.5418 Å).
Intensities are scaled so that the largest is 100.

The 10 most intense peaks (2θ = 5–70°), in order of rising 2θ:
two_theta, d_spacing, I (rel.)
10.16, 8.703, 55
10.48, 8.444, 30
21.11, 4.209, 30
28.15, 3.170, 22
30.21, 2.958, 100
30.82, 2.901, 38
31.79, 2.815, 37
34.99, 2.564, 29
44.08, 2.054, 24
44.78, 2.024, 23

Cell and atoms:
```
Pr2Dy2CIBr2Cl2
1.0
8.6893 -1.9703 0.0000
8.6893 1.9703 0.0000
-2.1117 0.0000 8.7029
Pr Dy C I Br Cl
2 2 1 1 2 2
Direct
0.0017 0.0017 0.3046
0.9983 0.9983 0.6954
0.3576 0.3576 0.4314
0.6424 0.6424 0.5686
0.5000 0.5000 0.5000
0.5000 0.5000 0.0000
0.1768 0.1768 0.8063
0.8232 0.8232 0.1937
0.1753 0.1753 0.3750
0.8247 0.8247 0.6250
```



# 6
Diffraction record for CsErSeS. The powder diffraction line list is computed, not measured: it uses DFT lattice parameters and positions (PBE) and Cu Kα (λ = 1.5418 Å).
Intensities are scaled so that the largest is 100.

The 10 most intense peaks (2θ = 5–70°), in order of rising 2θ:
two_theta, d_spacing, I (rel.)
10.79, 8.196, 22
21.69, 4.098, 32
27.14, 3.285, 100
29.80, 2.998, 86
33.20, 2.699, 26
41.56, 2.173, 59
43.72, 2.070, 53
49.31, 1.848, 22
52.22, 1.752, 17
61.90, 1.499, 18

Cell and atoms:
```
CsErSeS
1.0
4.1407 0.0000 0.0000
-2.0704 3.5860 0.0000
0.0000 0.0000 16.3920
Cs Er Se S
2 2 2 2
Direct
0.0000 0.0000 0.0000
0.3333 0.6667 0.5000
0.6667 0.3333 0.2427
0.6667 0.3333 0.7573
0.0000 0.0000 0.3391
0.0000 0.0000 0.6609
0.3333 0.6667 0.1564
0.3333 0.6667 0.8436
```